[1]
# SrYBi
Calculated XRD peak list, Cu Kα (λ = 1.5418 Å). Input: the GGA-PBE geometry in Alexandria.
Kinematic intensities with the Lorentz-polarization factor, no thermal factor.

Principal peaks in the range 2θ = 15–90°, low angle first:
- 20.65 deg, intensity 49.1
- 21.74 deg, intensity 29.8
- 27.62 deg, intensity 48.9
- 30.16 deg, intensity 100.0
- 36.17 deg, intensity 42.8
- 36.81 deg, intensity 92.4
- 52.53 deg, intensity 30.8
- 57.07 deg, intensity 44.2

Cell and atoms:
a = 9.894 Å, b = 9.894 Å, c = 9.894 Å
α = 120.78°, β = 82.32°, γ = 128.46°
Element x y z (fractional)
Sr: 0.000 0.250 0.250
Sr: 0.000 0.750 0.750
Sr: 0.176 0.132 0.544
Sr: 0.176 0.632 0.044
Sr: 0.588 0.132 0.956
Sr: 0.588 0.632 0.456
Y: 0.346 0.346 0.000
Y: 0.346 0.846 0.500
Y: 0.588 0.209 0.378
Y: 0.588 0.710 0.879
Y: 0.830 0.210 0.622
Y: 0.830 0.709 0.121
Bi: 0.255 0.088 0.167
Bi: 0.255 0.588 0.667
Bi: 0.588 0.338 0.750
Bi: 0.589 0.838 0.250
Bi: 0.922 0.088 0.833
Bi: 0.922 0.588 0.333

[2]
# Sr4Ac2Bi3O2
Calculated XRD peak list, Cu Kα (λ = 1.5418 Å). Input: the GGA-PBE geometry in Alexandria.
Kinematic intensities with the Lorentz-polarization factor, no thermal factor.

Principal peaks in the range 2θ = 15–90°, low angle first:
- 24.82 deg, intensity 36.7
- 25.67 deg, intensity 37.0
- 28.77 deg, intensity 23.1
- 31.69 deg, intensity 100.0
- 35.38 deg, intensity 57.6
- 50.91 deg, intensity 20.6
- 59.77 deg, intensity 18.3
- 61.22 deg, intensity 31.5

Cell and atoms:
a = 14.189 Å, b = 14.189 Å, c = 14.189 Å
α = 159.40°, β = 159.40°, γ = 29.29°
Element x y z (fractional)
Sr: 0.083 0.583 0.500
Sr: 0.417 0.917 0.500
Sr: 0.583 0.083 0.500
Sr: 0.917 0.417 0.500
Ac: 0.193 0.193 0.000
Ac: 0.807 0.807 0.000
Bi: 0.323 0.323 0.000
Bi: 0.500 0.500 0.000
Bi: 0.677 0.677 0.000
O: 0.105 0.105 0.000
O: 0.895 0.895 0.000